(1)
# GdMgSO
Computed XRD peak list, Cu Ka. Input: a GGA-PBE-relaxed structure.
Peak positions follow from Bragg's law for the DFT cell and can differ from measured ones.

Structural model:
Cell: 7.009 7.146 11.223 Å, 90.00 90.00 90.00°
Element x y z (fractional)
Gd (0.124, 0.034, 0.212)
Gd (0.124, 0.466, 0.712)
Gd (0.376, 0.534, 0.212)
Gd (0.376, 0.966, 0.712)
Gd (0.624, 0.034, 0.288)
Gd (0.624, 0.466, 0.788)
Gd (0.876, 0.534, 0.288)
Gd (0.876, 0.966, 0.788)
Mg (0.019, 0.712, 0.019)
Mg (0.019, 0.788, 0.519)
Mg (0.481, 0.212, 0.019)
Mg (0.481, 0.288, 0.519)
Mg (0.519, 0.712, 0.481)
Mg (0.519, 0.788, 0.981)
Mg (0.981, 0.212, 0.481)
Mg (0.981, 0.288, 0.981)
S (0.219, 0.509, 0.443)
S (0.219, 0.991, 0.943)
S (0.281, 0.009, 0.443)
S (0.281, 0.491, 0.943)
S (0.719, 0.509, 0.057)
S (0.719, 0.991, 0.557)
S (0.781, 0.009, 0.057)
S (0.781, 0.491, 0.557)
O (0.102, 0.708, 0.189)
O (0.102, 0.792, 0.689)
O (0.398, 0.208, 0.189)
O (0.398, 0.292, 0.689)
O (0.602, 0.708, 0.311)
O (0.602, 0.792, 0.811)
O (0.898, 0.208, 0.311)
O (0.898, 0.292, 0.811)

Top 10 peaks for 2θ = 10–90°, sorted by position:
2theta, I_rel
15.79, 55
24.92, 37
26.17, 19
29.48, 100
29.64, 32
29.82, 25
34.43, 29
37.34, 43
42.97, 20
46.82, 24

(2)
# Gd2MgTeO6
Computed XRD peak list, Cu Ka. Input: a GGA-PBE-relaxed structure.
Peak positions follow from Bragg's law for the DFT cell and can differ from measured ones.

Structural model:
Cell: 5.477 5.805 9.625 Å, 90.00 123.95 90.00°
Element x y z (fractional)
Gd (0.227, 0.066, 0.249)
Gd (0.227, 0.434, 0.749)
Gd (0.773, 0.566, 0.251)
Gd (0.773, 0.934, 0.751)
Mg (0.000, 0.000, 0.500)
Mg (0.000, 0.500, 0.000)
Te (0.500, 0.000, 0.000)
Te (0.500, 0.500, 0.500)
O (0.113, 0.197, 0.932)
O (0.113, 0.303, 0.432)
O (0.236, 0.688, 0.932)
O (0.236, 0.812, 0.432)
O (0.378, 0.058, 0.744)
O (0.378, 0.442, 0.244)
O (0.622, 0.558, 0.756)
O (0.622, 0.942, 0.256)
O (0.764, 0.188, 0.568)
O (0.764, 0.312, 0.068)
O (0.887, 0.697, 0.568)
O (0.887, 0.803, 0.068)

Top 10 peaks for 2θ = 10–90°, sorted by position:
2theta, I_rel
18.90, 21
22.30, 36
30.81, 36
31.58, 100
31.88, 98
32.71, 44
45.44, 26
45.54, 32
57.49, 36
58.05, 26

(3)
# Gd2MgPd2
Computed XRD peak list, Cu Ka. Input: a GGA-PBE-relaxed structure.
Peak positions follow from Bragg's law for the DFT cell and can differ from measured ones.

Structural model:
Cell: 7.630 3.887 7.631 Å, 90.00 90.01 90.00°
Element x y z (fractional)
Gd (0.000, 0.000, 0.000)
Gd (0.160, 0.000, 0.501)
Gd (0.499, 0.000, 0.161)
Gd (0.660, 0.000, 0.661)
Mg (0.330, 0.500, 0.831)
Mg (0.829, 0.500, 0.330)
Pd (0.196, 0.500, 0.199)
Pd (0.462, 0.500, 0.464)
Pd (0.697, 0.500, 0.964)
Pd (0.962, 0.500, 0.699)

Top 10 peaks for 2θ = 10–90°, sorted by position:
2theta, I_rel
16.43, 22
23.32, 12
32.90, 11
34.99, 100
37.26, 24
46.74, 11
50.76, 10
54.95, 14
61.24, 11
70.78, 13

(4)
# GdMgPd
Computed XRD peak list, Cu Ka. Input: a GGA-PBE-relaxed structure.
Peak positions follow from Bragg's law for the DFT cell and can differ from measured ones.

Structural model:
Cell: 4.731 4.731 6.719 Å, 90.00 90.00 120.00°
Element x y z (fractional)
Gd (0.000, 0.000, 0.000)
Gd (0.000, 0.000, 0.500)
Mg (0.333, 0.667, 0.250)
Mg (0.667, 0.333, 0.750)
Pd (0.333, 0.667, 0.750)
Pd (0.667, 0.333, 0.250)

Top 10 peaks for 2θ = 10–90°, sorted by position:
2theta, I_rel
21.69, 25
25.46, 23
34.52, 100
38.04, 65
52.30, 31
54.63, 8
66.48, 29
68.51, 23
68.73, 11
81.35, 7

(5)
# GdYMg3Pd2
Computed XRD peak list, Cu Ka. Input: a GGA-PBE-relaxed structure.
Peak positions follow from Bragg's law for the DFT cell and can differ from measured ones.

Structural model:
Cell: 3.649 10.778 10.778 Å, 22.71 90.00 90.00°
Element x y z (fractional)
Gd (0.000, 0.000, 0.000)
Y (0.000, 0.656, 0.656)
Mg (0.000, 0.827, 0.827)
Mg (0.500, 0.252, 0.252)
Mg (0.500, 0.402, 0.402)
Pd (0.500, 0.122, 0.122)
Pd (0.500, 0.533, 0.533)

Top 10 peaks for 2θ = 10–90°, sorted by position:
2theta, I_rel
25.29, 25
32.64, 56
33.94, 21
34.84, 100
35.42, 29
36.53, 39
38.91, 70
42.61, 30
44.08, 18
49.99, 19

(6)
# Pr2GdMg4Zn2
Computed XRD peak list, Cu Ka. Input: a GGA-PBE-relaxed structure.
Peak positions follow from Bragg's law for the DFT cell and can differ from measured ones.

Structural model:
Cell: 4.783 7.407 7.407 Å, 120.13 90.00 90.00°
Element x y z (fractional)
Pr (0.000, 0.215, 0.785)
Pr (0.000, 0.785, 0.215)
Gd (0.000, 0.347, 0.347)
Mg (0.000, 0.777, 0.777)
Mg (0.500, 0.029, 0.029)
Mg (0.500, 0.534, 0.780)
Mg (0.500, 0.780, 0.534)
Zn (0.500, 0.120, 0.448)
Zn (0.500, 0.448, 0.120)

Top 10 peaks for 2θ = 10–90°, sorted by position:
2theta, I_rel
13.82, 37
18.55, 20
27.84, 27
30.54, 90
33.66, 100
37.11, 29
37.61, 27
53.87, 20
55.08, 21
65.38, 30

(7)
# GdMgSi2Pt4
Computed XRD peak list, Cu Ka. Input: a GGA-PBE-relaxed structure.
Peak positions follow from Bragg's law for the DFT cell and can differ from measured ones.

Structural model:
Cell: 7.069 5.427 5.427 Å, 40.46 90.00 90.00°
Element x y z (fractional)
Gd (0.000, 0.000, 0.000)
Mg (0.500, 0.093, 0.093)
Si (0.000, 0.282, 0.282)
Si (0.500, 0.818, 0.818)
Pt (0.205, 0.694, 0.694)
Pt (0.303, 0.410, 0.410)
Pt (0.697, 0.410, 0.410)
Pt (0.795, 0.694, 0.694)

Top 10 peaks for 2θ = 10–90°, sorted by position:
2theta, I_rel
25.25, 63
28.31, 28
35.25, 30
35.66, 95
36.00, 100
42.26, 48
43.82, 42
44.16, 41
46.36, 35
48.51, 33

(8)
# Tb2GdMg3Tl3
Computed XRD peak list, Cu Ka. Input: a GGA-PBE-relaxed structure.
Peak positions follow from Bragg's law for the DFT cell and can differ from measured ones.

Structural model:
Cell: 4.676 7.553 7.553 Å, 120.06 90.00 90.00°
Element x y z (fractional)
Tb (0.000, 0.216, 0.784)
Tb (0.000, 0.784, 0.216)
Gd (0.000, 0.352, 0.352)
Mg (0.500, 0.027, 0.027)
Mg (0.500, 0.541, 0.784)
Mg (0.500, 0.784, 0.541)
Tl (0.000, 0.784, 0.784)
Tl (0.500, 0.117, 0.451)
Tl (0.500, 0.451, 0.117)

Top 10 peaks for 2θ = 10–90°, sorted by position:
2theta, I_rel
23.39, 23
23.56, 37
27.28, 16
30.43, 45
33.44, 100
38.51, 24
41.34, 32
48.21, 17
57.84, 16
65.33, 19

(9)
# Gd3Mg3TlZn2
Computed XRD peak list, Cu Ka. Input: a GGA-PBE-relaxed structure.
Peak positions follow from Bragg's law for the DFT cell and can differ from measured ones.

Structural model:
Cell: 7.396 7.396 4.552 Å, 90.00 90.00 120.00°
Element x y z (fractional)
Gd (0.000, 0.429, 0.000)
Gd (0.429, 0.000, 0.000)
Gd (0.571, 0.571, 0.000)
Mg (0.000, 0.749, 0.500)
Mg (0.251, 0.251, 0.500)
Mg (0.749, 0.000, 0.500)
Tl (0.000, 0.000, 0.000)
Zn (0.333, 0.667, 0.500)
Zn (0.667, 0.333, 0.500)

Top 10 peaks for 2θ = 10–90°, sorted by position:
2theta, I_rel
19.50, 31
24.04, 26
27.86, 41
31.16, 32
34.23, 100
39.60, 21
42.30, 33
49.11, 18
55.53, 17
66.92, 20

(10)
# Gd5N
Computed XRD peak list, Cu Ka. Input: a GGA-PBE-relaxed structure.
Peak positions follow from Bragg's law for the DFT cell and can differ from measured ones.

Structural model:
Cell: 6.152 6.152 6.061 Å, 90.00 90.00 120.00°
Element x y z (fractional)
Gd (0.000, 0.500, 0.000)
Gd (0.333, 0.667, 0.500)
Gd (0.500, 0.000, 0.000)
Gd (0.500, 0.500, 0.000)
Gd (0.667, 0.333, 0.500)
N (0.000, 0.000, 0.500)

Top 10 peaks for 2θ = 10–90°, sorted by position:
2theta, I_rel
16.64, 84
29.48, 51
32.64, 86
34.04, 30
36.85, 100
53.79, 21
54.33, 20
57.23, 28
60.16, 20
68.40, 27